Record 1
Diffraction record for Li2Fe3Co5O16. The powder diffraction line list is simulated, not measured: it uses a crystal structure in the Materials Project, relaxed with PBE+U and Cu Kα.
No peak broadening, texture or thermal motion is included.

The 10 most intense peaks (2θ from 10° to 90°), by intensity:
d_spacing	2theta	I/Imax
4.962	17.9	100
2.102	43.0	32
2.506	35.8	21
2.087	43.3	15
2.495	36.0	10
1.634	56.3	10
1.407	66.4	9
1.464	63.5	8
2.403	37.4	8
1.499	61.9	8

Crystal structure
```
data_Li2Fe3Co5O16
_chemical_formula_sum 'Li2 Fe3 Co5 O16'
_space_group_name_H-M_alt 'P 1'
_space_group_IT_number 1
_cell_length_a 5.230
_cell_length_b 2.936
_cell_length_c 19.271
_cell_angle_alpha 90.00
_cell_angle_beta 93.50
_cell_angle_gamma 90.00
loop_
_space_group_symop_operation_xyz
'x,y,z'
loop_
_atom_site_label
_atom_site_type_symbol
_atom_site_fract_x
_atom_site_fract_y
_atom_site_fract_z
Li1 Li 0.249 0.000 0.247
Li2 Li 0.751 0.000 0.753
Fe1 Fe 0.369 0.000 0.627
Fe2 Fe 0.500 0.500 0.500
Fe3 Fe 0.631 0.000 0.373
Co1 Co 0.000 0.500 0.000
Co2 Co 0.127 0.000 0.877
Co3 Co 0.250 0.500 0.751
Co4 Co 0.750 0.500 0.249
Co5 Co 0.873 0.000 0.123
O1 O 0.015 0.500 0.188
O2 O 0.102 0.000 0.699
O3 O 0.132 0.000 0.055
O4 O 0.238 0.500 0.565
O5 O 0.253 0.500 0.935
O6 O 0.354 0.000 0.444
O7 O 0.392 0.000 0.804
O8 O 0.478 0.500 0.308
O9 O 0.522 0.500 0.692
O10 O 0.608 0.000 0.196
O11 O 0.646 0.000 0.556
O12 O 0.747 0.500 0.065
O13 O 0.762 0.500 0.435
O14 O 0.868 0.000 0.945
O15 O 0.898 0.000 0.301
O16 O 0.985 0.500 0.812
```

---

Record 2
Diffraction record for Li10Fe3Co7O20. The powder diffraction line list is simulated, not measured: it uses a crystal structure in the Materials Project, relaxed with PBE+U and Cu Kα.
No peak broadening, texture or thermal motion is included.

The 10 most intense peaks (2θ from 10° to 90°), by intensity:
d_spacing	2theta	I/Imax
4.788	18.5	100
2.046	44.3	71
2.453	36.6	39
1.583	58.3	14
1.457	63.9	13
1.436	64.9	12
2.354	38.2	9
1.883	48.3	9
1.440	64.7	6
1.454	64.0	6

Crystal structure
```
data_Li10Fe3Co7O20
_chemical_formula_sum 'Li10 Fe3 Co7 O20'
_space_group_name_H-M_alt 'P 1'
_space_group_IT_number 1
_cell_length_a 5.819
_cell_length_b 2.880
_cell_length_c 20.596
_cell_angle_alpha 90.00
_cell_angle_beta 96.93
_cell_angle_gamma 90.00
loop_
_space_group_symop_operation_xyz
'x,y,z'
loop_
_atom_site_label
_atom_site_type_symbol
_atom_site_fract_x
_atom_site_fract_y
_atom_site_fract_z
Li1 Li 0.000 0.000 0.000
Li2 Li 0.000 0.500 0.500
Li3 Li 0.198 0.000 0.401
Li4 Li 0.200 0.500 0.899
Li5 Li 0.402 0.000 0.799
Li6 Li 0.402 0.500 0.304
Li7 Li 0.598 0.000 0.201
Li8 Li 0.598 0.500 0.696
Li9 Li 0.800 0.500 0.101
Li10 Li 0.802 0.000 0.599
Fe1 Fe 0.098 0.000 0.203
Fe2 Fe 0.500 0.000 0.000
Fe3 Fe 0.902 0.000 0.797
Co1 Co 0.104 0.500 0.697
Co2 Co 0.299 0.500 0.101
Co3 Co 0.302 0.000 0.598
Co4 Co 0.500 0.500 0.500
Co5 Co 0.698 0.000 0.402
Co6 Co 0.701 0.500 0.899
Co7 Co 0.896 0.500 0.303
O1 O 0.073 0.000 0.103
O2 O 0.080 0.500 0.603
O3 O 0.124 0.000 0.302
O4 O 0.143 0.500 0.793
O5 O 0.260 0.500 0.005
O6 O 0.276 0.000 0.504
O7 O 0.327 0.000 0.693
O8 O 0.339 0.500 0.197
O9 O 0.474 0.000 0.901
O10 O 0.474 0.500 0.406
O11 O 0.526 0.000 0.099
O12 O 0.526 0.500 0.594
O13 O 0.661 0.500 0.803
O14 O 0.673 0.000 0.307
O15 O 0.724 0.000 0.496
O16 O 0.740 0.500 0.995
O17 O 0.857 0.500 0.207
O18 O 0.876 0.000 0.698
O19 O 0.920 0.500 0.397
O20 O 0.927 0.000 0.897
```

---

Record 3
Diffraction record for Li3Fe3CoO8. The powder diffraction line list is simulated, not measured: it uses a crystal structure in the Materials Project, relaxed with PBE+U and Cu Kα.
No peak broadening, texture or thermal motion is included.

The 10 most intense peaks (2θ from 10° to 90°), by intensity:
d_spacing	2theta	I/Imax
4.874	18.2	100
2.086	43.4	43
2.496	36.0	25
2.066	43.8	21
2.480	36.2	12
1.457	63.9	11
2.389	37.7	11
1.479	62.9	11
1.615	57.0	10
1.194	80.4	8

Crystal structure
```
data_Li3Fe3CoO8
_chemical_formula_sum 'Li3 Fe3 Co1 O8'
_space_group_name_H-M_alt 'P 1'
_space_group_IT_number 1
_cell_length_a 5.916
_cell_length_b 5.916
_cell_length_c 5.041
_cell_angle_alpha 106.04
_cell_angle_beta 106.04
_cell_angle_gamma 59.31
loop_
_space_group_symop_operation_xyz
'x,y,z'
loop_
_atom_site_label
_atom_site_type_symbol
_atom_site_fract_x
_atom_site_fract_y
_atom_site_fract_z
Li1 Li 0.000 0.000 0.000
Li2 Li 0.258 0.736 0.495
Li3 Li 0.736 0.258 0.495
Fe1 Fe 0.004 0.493 0.992
Fe2 Fe 0.493 0.004 0.992
Fe3 Fe 0.746 0.746 0.487
Co1 Co 0.249 0.249 0.496
O1 O 0.096 0.612 0.714
O2 O 0.134 0.134 0.748
O3 O 0.358 0.358 0.250
O4 O 0.384 0.900 0.270
O5 O 0.612 0.096 0.714
O6 O 0.640 0.640 0.729
O7 O 0.858 0.858 0.241
O8 O 0.900 0.384 0.270
```

---

Record 4
Diffraction record for Li4FeCo3O8. The powder diffraction line list is simulated, not measured: it uses a crystal structure in the Materials Project, relaxed with PBE+U and Cu Kα.
No peak broadening, texture or thermal motion is included.

The 10 most intense peaks (2θ from 10° to 90°), by intensity:
d_spacing	2theta	I/Imax
3.980	22.3	100
2.540	35.3	57
2.769	32.3	53
4.201	21.2	43
4.181	21.3	41
1.602	57.5	33
2.779	32.2	26
2.434	36.9	25
2.427	37.0	24
2.440	36.8	24

Crystal structure
```
data_Li4FeCo3O8
_chemical_formula_sum 'Li4 Fe1 Co3 O8'
_space_group_name_H-M_alt 'P 1'
_space_group_IT_number 1
_cell_length_a 5.080
_cell_length_b 5.540
_cell_length_c 6.407
_cell_angle_alpha 89.73
_cell_angle_beta 89.97
_cell_angle_gamma 89.68
loop_
_space_group_symop_operation_xyz
'x,y,z'
loop_
_atom_site_label
_atom_site_type_symbol
_atom_site_fract_x
_atom_site_fract_y
_atom_site_fract_z
Li1 Li 0.000 0.000 0.000
Li2 Li 0.001 0.501 0.250
Li3 Li 0.501 0.164 0.750
Li4 Li 0.502 0.665 0.498
Fe1 Fe 0.002 0.504 0.749
Co1 Co 0.502 0.162 0.250
Co2 Co 0.504 0.664 0.004
Co3 Co 0.999 0.001 0.501
O1 O 0.371 0.007 0.488
O2 O 0.379 0.509 0.763
O3 O 0.398 0.486 0.238
O4 O 0.401 0.987 0.012
O5 O 0.872 0.159 0.261
O6 O 0.875 0.659 0.994
O7 O 0.895 0.174 0.736
O8 O 0.898 0.678 0.504
```

---

Record 5
Diffraction record for Li10Fe9CoO20. The powder diffraction line list is simulated, not measured: it uses a crystal structure in the Materials Project, relaxed with PBE+U and Cu Kα.
No peak broadening, texture or thermal motion is included.

The 10 most intense peaks (2θ from 10° to 90°), by intensity:
d_spacing	2theta	I/Imax
4.899	18.1	100
2.108	42.9	79
2.535	35.4	42
1.486	62.5	22
1.495	62.1	21
1.936	46.9	14
1.422	65.7	14
1.627	56.6	14
2.429	37.0	14
1.215	78.8	7

Crystal structure
```
data_Li10Fe9CoO20
_chemical_formula_sum 'Li10 Fe9 Co1 O20'
_space_group_name_H-M_alt 'P 1'
_space_group_IT_number 1
_cell_length_a 5.979
_cell_length_b 2.973
_cell_length_c 21.256
_cell_angle_alpha 90.00
_cell_angle_beta 97.54
_cell_angle_gamma 90.00
loop_
_space_group_symop_operation_xyz
'x,y,z'
loop_
_atom_site_label
_atom_site_type_symbol
_atom_site_fract_x
_atom_site_fract_y
_atom_site_fract_z
Li1 Li 0.000 0.000 0.000
Li2 Li 0.000 0.500 0.500
Li3 Li 0.200 0.000 0.400
Li4 Li 0.203 0.500 0.902
Li5 Li 0.400 0.000 0.799
Li6 Li 0.400 0.500 0.300
Li7 Li 0.600 0.000 0.201
Li8 Li 0.600 0.500 0.700
Li9 Li 0.797 0.500 0.098
Li10 Li 0.800 0.000 0.600
Fe1 Fe 0.099 0.500 0.700
Fe2 Fe 0.101 0.000 0.199
Fe3 Fe 0.300 0.000 0.600
Fe4 Fe 0.305 0.500 0.098
Fe5 Fe 0.500 0.500 0.500
Fe6 Fe 0.695 0.500 0.902
Fe7 Fe 0.700 0.000 0.400
Fe8 Fe 0.899 0.000 0.801
Fe9 Fe 0.901 0.500 0.300
Co1 Co 0.500 0.000 0.000
O1 O 0.065 0.500 0.603
O2 O 0.067 0.000 0.101
O3 O 0.135 0.000 0.297
O4 O 0.135 0.500 0.798
O5 O 0.265 0.000 0.503
O6 O 0.281 0.500 0.002
O7 O 0.335 0.000 0.697
O8 O 0.336 0.500 0.196
O9 O 0.464 0.000 0.906
O10 O 0.465 0.500 0.403
O11 O 0.535 0.500 0.597
O12 O 0.536 0.000 0.094
O13 O 0.664 0.500 0.804
O14 O 0.665 0.000 0.303
O15 O 0.719 0.500 0.998
O16 O 0.735 0.000 0.497
O17 O 0.865 0.000 0.703
O18 O 0.865 0.500 0.202
O19 O 0.933 0.000 0.899
O20 O 0.935 0.500 0.397
```

---

Record 6
Diffraction record for Li2FeCoO4. The powder diffraction line list is simulated, not measured: it uses a crystal structure in the Materials Project, relaxed with PBE+U and Cu Kα.
No peak broadening, texture or thermal motion is included.

The 10 most intense peaks (2θ from 10° to 90°), by intensity:
d_spacing	2theta	I/Imax
4.882	18.2	100
2.093	43.2	52
2.519	35.6	43
2.104	43.0	27
1.492	62.2	15
1.475	63.0	14
1.931	47.1	10
1.415	66.0	10
2.419	37.2	10
1.616	57.0	9

Crystal structure
```
data_Li2FeCoO4
_chemical_formula_sum 'Li2 Fe1 Co1 O4'
_space_group_name_H-M_alt 'P 1'
_space_group_IT_number 1
_cell_length_a 5.108
_cell_length_b 2.956
_cell_length_c 5.185
_cell_angle_alpha 90.00
_cell_angle_beta 109.69
_cell_angle_gamma 90.00
loop_
_space_group_symop_operation_xyz
'x,y,z'
loop_
_atom_site_label
_atom_site_type_symbol
_atom_site_fract_x
_atom_site_fract_y
_atom_site_fract_z
Li1 Li 0.000 0.000 0.000
Li2 Li 0.500 0.500 0.000
Fe1 Fe 0.000 0.500 0.500
Co1 Co 0.500 0.000 0.500
O1 O 0.243 0.000 0.732
O2 O 0.261 0.500 0.273
O3 O 0.739 0.500 0.727
O4 O 0.757 0.000 0.268
```